(1)
For Li2TbBr5, a cell relaxed with PBE gives the simulated PXRD pattern in this record (Cu Kα, 1.54184 Å).
No peak broadening, texture or thermal motion is included.

```
16
Lattice="12.474 0.000 0.000 0.000 8.279 0.000 -3.691 0.000 6.171" Properties=species:S:1:pos:R:3 pbc="T T T"
Li 0.000 1.824 0.000
Li 0.000 6.455 0.000
Li 6.237 2.316 0.000
Li 6.237 5.963 0.000
Tb -0.059 0.000 3.164
Tb 6.178 4.139 3.164
Br -2.272 0.000 4.828
Br 1.113 2.244 2.251
Br 1.113 6.034 2.251
Br 1.746 0.000 5.367
Br 4.594 4.139 0.815
Br 3.965 4.139 4.828
Br 7.350 1.895 2.251
Br 7.350 6.384 2.251
Br 7.983 4.139 5.367
Br 10.831 0.000 0.815
```

Top 10 peaks for 10 to 90 degrees two-theta, sorted by position:
Position (°2θ), I/Imax
13.52, 100
15.37, 56
16.35, 67
25.92, 23
26.51, 29
27.08, 51
27.23, 25
28.92, 59
33.52, 32
38.04, 28


(2)
For LiTbTlBr5, a cell relaxed with PBE gives the simulated PXRD pattern in this record (Cu Kα, 1.54184 Å).
No peak broadening, texture or thermal motion is included.

```
16
Lattice="4.638 -6.364 0.000 4.638 6.364 0.000 -4.154 0.000 9.709" Properties=species:S:1:pos:R:3 pbc="T T T"
Li 1.522 3.928 7.282
Li 3.599 -3.928 2.427
Tb 4.638 0.000 0.000
Tb 2.561 0.000 4.854
Tl 3.599 4.552 2.427
Tl 1.522 -4.552 7.282
Br -0.048 0.838 4.199
Br -0.115 2.523 8.616
Br -2.125 -0.838 9.054
Br 3.599 1.053 2.427
Br 3.159 2.523 5.947
Br 1.962 -2.523 3.762
Br 1.522 -1.053 7.282
Br 7.247 0.838 0.655
Br 5.236 -2.523 1.093
Br 5.170 -0.838 5.510
```

Top 10 peaks for 10 to 90 degrees two-theta, sorted by position:
Position (°2θ), I/Imax
12.84, 34
18.47, 100
20.83, 44
26.27, 63
26.66, 56
29.54, 64
29.91, 47
35.71, 36
38.11, 34
44.15, 33


(3)
For Li3TcBr8, a cell relaxed with PBE gives the simulated PXRD pattern in this record (Cu Kα, 1.54184 Å).
No peak broadening, texture or thermal motion is included.

```
12
Lattice="3.675 -5.610 0.000 3.675 5.610 0.000 0.000 0.000 7.974" Properties=species:S:1:pos:R:3 pbc="T T T"
Li 0.000 0.000 0.000
Li 1.838 2.805 6.127
Li 1.838 -2.805 1.847
Tc 0.000 0.000 3.987
Br 3.675 3.096 3.987
Br 1.783 0.079 5.775
Br 3.675 2.961 0.000
Br 1.783 -0.079 2.198
Br 5.568 0.079 2.198
Br 3.675 -2.961 0.000
Br 5.568 -0.079 5.775
Br 3.675 -3.096 3.987
```

Top 10 peaks for 10 to 90 degrees two-theta, sorted by position:
Position (°2θ), I/Imax
11.10, 26
14.41, 36
18.22, 20
27.45, 76
29.05, 72
31.91, 51
33.15, 100
46.67, 65
57.62, 18
60.20, 18